No. 1
The following is a simulated X-ray diffraction stick pattern of WN2. It was derived from a cell relaxed with PBE, using Cu Kα (weighted mean of Kα1 and Kα2).
Neutral-atom scattering factors, no anomalous dispersion.

a = 5.9533 Å, b = 5.9533 Å, c = 5.9533 Å
α = 142.85°, β = 142.85°, γ = 53.55°
Element x y z (fractional)
W  0.3750  0.6250  0.7500
W  0.6250  0.3750  0.2500
N  0.1776  0.4276  0.7500
N  0.4276  0.1776  0.2500
N  0.5724  0.8224  0.7500
N  0.8224  0.5724  0.2500

Largest 10 diffraction maxima, by intensity, 10° ≤ 2θ ≤ 90°:
two_theta	d (Å)	I (rel.)
24.93	3.572	100
37.57	2.394	49
34.64	2.589	30
54.81	1.675	23
33.73	2.657	22
47.97	1.896	20
49.13	1.855	19
59.92	1.544	17
62.87	1.478	15
60.52	1.530	13

---

No. 2
The following is a simulated X-ray diffraction stick pattern of Na2SrLa2Ti5O15. It was derived from a cell relaxed with PBE, using Cu Kα (weighted mean of Kα1 and Kα2).
Neutral-atom scattering factors, no anomalous dispersion.

a = 19.9255 Å, b = 19.9255 Å, c = 5.5238 Å
α = 97.78°, β = 97.78°, γ = 15.95°
Element x y z (fractional)
Na  0.0998  0.0998  0.0987
Na  0.2961  0.3040  0.3015
Na  0.6960  0.7039  0.6985
Na  0.9002  0.9002  0.9013
Sr  0.4985  0.5015  0.5000
Sr  0.9969  0.0031  0.0000
La  0.1953  0.2056  0.1921
La  0.3991  0.3992  0.4035
La  0.6008  0.6009  0.5965
La  0.7944  0.8047  0.8079
Ti  0.0492  0.0517  0.5495
Ti  0.1470  0.1552  0.6454
Ti  0.2432  0.2555  0.7538
Ti  0.3464  0.3542  0.8533
Ti  0.4491  0.4485  0.9520
Ti  0.5515  0.5509  0.0480
Ti  0.6458  0.6536  0.1467
Ti  0.7445  0.7568  0.2462
Ti  0.8448  0.8530  0.3546
Ti  0.9483  0.9508  0.4505
O  0.0244  0.4643  0.4628
O  0.0307  0.9693  0.5000
O  0.0511  0.1509  0.6016
O  0.0817  0.6249  0.6232
O  0.1354  0.5744  0.1304
O  0.1824  0.7084  0.1816
O  0.2188  0.6717  0.6683
O  0.2433  0.1568  0.7059
O  0.2458  0.3534  0.7980
O  0.2916  0.8176  0.8184
O  0.3283  0.7812  0.3317
O  0.3751  0.9183  0.3768
O  0.4256  0.8646  0.8696
O  0.4421  0.3574  0.8935
O  0.4632  0.5368  0.0000
O  0.4811  0.0278  0.0306
O  0.5357  0.9756  0.5372
O  0.5723  0.1180  0.5713
O  0.6222  0.0678  0.0661
O  0.6426  0.5579  0.1065
O  0.6466  0.7542  0.2020
O  0.6793  0.2245  0.2207
O  0.7182  0.1881  0.7143
O  0.7755  0.3207  0.7793
O  0.8119  0.2818  0.2857
O  0.8432  0.7567  0.2941
O  0.8491  0.9489  0.3984
O  0.8820  0.4277  0.4287
O  0.9322  0.3778  0.9339
O  0.9722  0.5189  0.9694

Largest 10 diffraction maxima, by intensity, 10° ≤ 2θ ≤ 90°:
two_theta	d (Å)	I (rel.)
32.39	2.764	100
46.47	1.954	40
19.67	4.514	37
38.17	2.358	18
57.72	1.597	18
39.92	2.258	15
57.77	1.596	13
67.89	1.381	11
67.74	1.383	10
57.88	1.593	9

---

No. 3
The following is a simulated X-ray diffraction stick pattern of CsSO3. It was derived from a cell relaxed with PBE, using Cu Kα (weighted mean of Kα1 and Kα2).
Neutral-atom scattering factors, no anomalous dispersion.

a = 5.0383 Å, b = 5.0383 Å, c = 5.0383 Å
α = 77.33°, β = 77.33°, γ = 77.33°
Element x y z (fractional)
Cs  0.0000  0.0000  0.0000
S  0.4460  0.4460  0.4460
O  0.1431  0.5400  0.5400
O  0.5400  0.1431  0.5400
O  0.5400  0.5400  0.1431

Largest 10 diffraction maxima, by intensity, 10° ≤ 2θ ≤ 90°:
two_theta	d (Å)	I (rel.)
23.56	3.776	100
28.35	3.148	54
37.19	2.418	36
18.35	4.835	36
33.98	2.638	27
38.52	2.337	25
25.53	3.489	21
38.15	2.359	20
47.41	1.917	19
56.87	1.619	17